The following is a theoretical powder diffraction line list of CrMoAsO6. It was derived from DFT lattice parameters and positions (GGA+U), using Cu Kα.
No peak broadening, texture or thermal motion is included.

Crystal structure
```
data_CrMoAsO6
_chemical_formula_sum 'Cr2 Mo2 As2 O12'
_space_group_name_H-M_alt 'P 1'
_space_group_IT_number 1
_cell_length_a 5.068
_cell_length_b 5.068
_cell_length_c 8.696
_cell_angle_alpha 90.00
_cell_angle_beta 90.00
_cell_angle_gamma 120.00
loop_
_space_group_symop_operation_xyz
'x,y,z'
loop_
_atom_site_label
_atom_site_fract_x
_atom_site_fract_y
_atom_site_fract_z
_atom_site_occupancy
Cr1 0.000 0.000 0.000 1
Cr2 0.000 0.000 0.500 1
Mo1 0.333 0.667 0.250 1
Mo2 0.667 0.333 0.750 1
As1 0.333 0.667 0.750 1
As2 0.667 0.333 0.250 1
O1 0.026 0.357 0.630 1
O2 0.026 0.670 0.870 1
O3 0.330 0.357 0.870 1
O4 0.330 0.974 0.630 1
O5 0.357 0.026 0.130 1
O6 0.357 0.330 0.370 1
O7 0.643 0.670 0.630 1
O8 0.643 0.974 0.870 1
O9 0.670 0.026 0.370 1
O10 0.670 0.643 0.130 1
O11 0.974 0.330 0.130 1
O12 0.974 0.643 0.370 1
```

The 6 most intense peaks (2θ = 10–90°), sorted by position:
Position (°2θ)	I (rel.)	hkl
20.4	32	0 0 2
28.9	100	1 0 2
35.4	46	1 1 0
41.2	38	1 1 2
46.3	26	2 0 2
55.7	53	1 1 4